[1]
# TeOsPb
Computed PXRD pattern, copper Kα. Input: a cell relaxed with PBE.
Kinematic intensities with the Lorentz-polarization factor, no thermal factor.

Main lines, low angle first (5 to 70 degrees two-theta):
d_spacing  I_rel
7.189  95.9
2.904  100.0
2.574  17.8
2.543  88.6
2.491  15.9
2.433  18.5
2.182  16.1
2.031  36.7
1.790  15.2
1.653  16.8

Atomic structure:
abc: 6.5308 3.3059 7.7265
angles: 90.00 111.49 90.00
Positions (direct):
Te1 0.0000 0.0000 0.0000
Te2 0.4577 0.5000 0.8843
Os1 0.3337 0.5000 0.1722
Os2 0.6862 0.0000 0.1519
Pb1 0.0536 0.5000 0.3988
Pb2 0.5917 0.0000 0.4878

[2]
# Th8OsPb2
Computed PXRD pattern, copper Kα. Input: a cell relaxed with PBE.
Kinematic intensities with the Lorentz-polarization factor, no thermal factor.

Main lines, low angle first (5 to 70 degrees two-theta):
d_spacing  I_rel
3.210  35.8
3.054  31.0
2.995  83.6
2.893  37.8
2.858  81.6
2.785  100.0
2.654  34.5
2.576  51.3
2.474  35.4
2.411  24.8

Atomic structure:
abc: 9.7885 9.7885 6.8446
angles: 108.04 108.04 33.06
Positions (direct):
Th1 0.0031 0.0031 0.2363
Th2 0.2226 0.2226 0.1204
Th3 0.3593 0.3593 0.7024
Th4 0.4113 0.4113 0.2614
Th5 0.5887 0.5887 0.7386
Th6 0.6407 0.6407 0.2976
Th7 0.7774 0.7774 0.8796
Th8 0.9969 0.9969 0.7637
Os1 0.5000 0.5000 0.0000
Pb1 0.1717 0.1717 0.6061
Pb2 0.8283 0.8283 0.3939

[3]
# Th4Os2Pb3
Computed PXRD pattern, copper Kα. Input: a cell relaxed with PBE.
Kinematic intensities with the Lorentz-polarization factor, no thermal factor.

Main lines, low angle first (5 to 70 degrees two-theta):
d_spacing  I_rel
3.000  38.8
2.988  82.8
2.877  79.4
2.685  100.0
2.673  47.7
2.663  51.9
2.622  37.2
2.454  59.3
2.408  58.7
2.234  38.7

Atomic structure:
abc: 8.9613 8.9613 6.3660
angles: 90.44 90.44 79.91
Positions (direct):
Th1 0.0285 0.7696 0.5032
Th2 0.2304 0.9715 0.9968
Th3 0.2604 0.4279 0.7511
Th4 0.4279 0.2604 0.2511
Th5 0.5721 0.7396 0.7489
Th6 0.7396 0.5721 0.2489
Th7 0.7696 0.0285 0.0032
Th8 0.9715 0.2304 0.4968
Os1 0.1246 0.4686 0.3374
Os2 0.4686 0.1246 0.8374
Os3 0.5314 0.8754 0.1626
Os4 0.8754 0.5314 0.6626
Pb1 0.0079 0.7006 0.9929
Pb2 0.2994 0.9921 0.5071
Pb3 0.3684 0.6316 0.2500
Pb4 0.6316 0.3684 0.7500
Pb5 0.7006 0.0079 0.4929
Pb6 0.9921 0.2994 0.0071

[4]
# OsPb2W
Computed PXRD pattern, copper Kα. Input: a cell relaxed with PBE.
Kinematic intensities with the Lorentz-polarization factor, no thermal factor.

Main lines, low angle first (5 to 70 degrees two-theta):
d_spacing  I_rel
9.436  43.8
3.145  23.9
2.978  18.8
2.613  92.7
2.220  100.0
1.813  20.4
1.617  13.5
1.569  18.3
1.438  16.8
1.345  24.4

Atomic structure:
abc: 3.1381 3.1381 9.4364
angles: 90.00 90.00 90.00
Positions (direct):
Os1 0.0000 0.0000 0.0000
Pb1 0.0000 0.0000 0.3894
Pb2 0.5000 0.5000 0.7643
W1 0.5000 0.5000 0.1430

[5]
# Pu6OsPd3
Computed PXRD pattern, copper Kα. Input: a cell relaxed with PBE.
Kinematic intensities with the Lorentz-polarization factor, no thermal factor.

Main lines, low angle first (5 to 70 degrees two-theta):
d_spacing  I_rel
6.576  44.5
4.630  14.9
2.473  18.8
2.431  100.0
2.393  21.2
2.322  42.3
2.192  17.7
2.156  25.1
1.798  15.3
1.422  14.1

Atomic structure:
abc: 5.7121 5.7121 13.1514
angles: 90.00 90.00 120.00
Positions (direct):
Pu1 0.1363 0.3666 0.3358
Pu2 0.1363 0.7697 0.1642
Pu3 0.2303 0.3666 0.1642
Pu4 0.2303 0.8637 0.3358
Pu5 0.3666 0.1363 0.6642
Pu6 0.3666 0.2303 0.8358
Pu7 0.6334 0.7697 0.3358
Pu8 0.6334 0.8637 0.1642
Pu9 0.7697 0.1363 0.8358
Pu10 0.7697 0.6334 0.6642
Pu11 0.8637 0.2303 0.6642
Pu12 0.8637 0.6334 0.8358
Os1 0.3333 0.6667 0.7500
Os2 0.6667 0.3333 0.2500
Pd1 0.0000 0.0000 0.0000
Pd2 0.0000 0.0000 0.5000
Pd3 0.3333 0.6667 0.5419
Pd4 0.3333 0.6667 0.9581
Pd5 0.6667 0.3333 0.0419
Pd6 0.6667 0.3333 0.4581

[6]
# Sb2OsPd2
Computed PXRD pattern, copper Kα. Input: a cell relaxed with PBE.
Kinematic intensities with the Lorentz-polarization factor, no thermal factor.

Main lines, low angle first (5 to 70 degrees two-theta):
d_spacing  I_rel
2.865  13.1
2.588  23.6
2.507  57.8
2.372  100.0
2.315  70.4
1.921  19.7
1.720  18.1
1.578  13.7
1.542  10.3
1.381  27.2

Atomic structure:
abc: 7.3204 7.3204 3.4405
angles: 90.00 90.00 90.00
Positions (direct):
Sb1 0.1787 0.3213 0.0000
Sb2 0.3213 0.8213 0.0000
Sb3 0.6787 0.1787 0.0000
Sb4 0.8213 0.6787 0.0000
Os1 0.0000 0.0000 0.5000
Os2 0.5000 0.5000 0.5000
Pd1 0.1295 0.6295 0.5000
Pd2 0.3705 0.1295 0.5000
Pd3 0.6295 0.8705 0.5000
Pd4 0.8705 0.3705 0.5000

[7]
# Sc8OsPd2
Computed PXRD pattern, copper Kα. Input: a cell relaxed with PBE.
Kinematic intensities with the Lorentz-polarization factor, no thermal factor.

Main lines, low angle first (5 to 70 degrees two-theta):
d_spacing  I_rel
6.198  38.5
4.552  61.0
3.834  84.3
3.523  40.3
2.463  65.7
2.429  43.6
2.392  52.5
2.297  100.0
2.276  40.8
2.066  52.5

Atomic structure:
abc: 7.5406 7.5406 5.1073
angles: 100.79 100.79 119.57
Positions (direct):
Sc1 0.0000 0.0000 0.0000
Sc2 0.0402 0.2699 0.5856
Sc3 0.1630 0.5737 0.1896
Sc4 0.2699 0.0402 0.5856
Sc5 0.4614 0.6934 0.8007
Sc6 0.5737 0.1630 0.1896
Sc7 0.6934 0.4614 0.8007
Sc8 0.7276 0.7276 0.3797
Os1 0.3632 0.3632 0.1400
Pd1 0.0642 0.6611 0.6836
Pd2 0.6611 0.0642 0.6836

[8]
# OsPd2Se
Computed PXRD pattern, copper Kα. Input: a cell relaxed with PBE.
Kinematic intensities with the Lorentz-polarization factor, no thermal factor.

Main lines, low angle first (5 to 70 degrees two-theta):
d_spacing  I_rel
4.178  11.7
2.721  18.1
2.536  100.0
2.292  77.2
2.168  7.3
1.793  34.4
1.701  60.1
1.648  3.2
1.412  15.8
1.382  4.2

Atomic structure:
abc: 5.6856 5.6856 5.6856
angles: 101.79 101.79 126.26
Positions (direct):
Os1 0.0000 0.0000 0.0000
Os2 0.7500 0.2500 0.5000
Pd1 0.1442 0.6250 0.0192
Pd2 0.3750 0.3942 0.5192
Pd3 0.6058 0.1250 0.9808
Pd4 0.8750 0.8558 0.4808
Se1 0.2500 0.7500 0.5000
Se2 0.5000 0.5000 0.0000